# 1
Computed XRD peak list
Compound: U3SN3
Radiation: Cu Kα (λ = 1.5418 Å)
Structure: a DFT-relaxed cell (GGA-PBE, Alexandria)

Top 10 peaks for 2θ = 5–70°, in order of rising 2θ:
| Position (°2θ) | intensity |
| --- | --- |
| 13.4 | 8 |
| 27.0 | 46 |
| 30.2 | 100 |
| 38.6 | 28 |
| 47.7 | 26 |
| 49.8 | 23 |
| 55.7 | 23 |
| 57.5 | 17 |
| 63.0 | 10 |
| 64.7 | 9 |

Crystal structure
Unit cell a=7.6161 b=7.6161 c=7.6161 alpha=51.44 beta=51.44 gamma=51.44
Sites, in units of the cell vectors:
U  0.0582  0.7483  0.4066
U  0.2517  0.5934  0.9418
U  0.4066  0.0582  0.7483
U  0.5934  0.9418  0.2517
U  0.7483  0.4066  0.0582
U  0.9418  0.2517  0.5934
S  0.1664  0.1664  0.1664
S  0.8336  0.8336  0.8336
N  0.0559  0.3738  0.7046
N  0.2954  0.9441  0.6262
N  0.3738  0.7046  0.0559
N  0.6262  0.2954  0.9441
N  0.7046  0.0559  0.3738
N  0.9441  0.6262  0.2954



# 2
Computed XRD peak list
Compound: U3S2N3
Radiation: Cu Kα (λ = 1.5418 Å)
Structure: a DFT-relaxed cell (GGA-PBE, Alexandria)

Top 10 peaks for 2θ = 5–70°, in order of rising 2θ:
| Position (°2θ) | intensity |
| --- | --- |
| 8.7 | 20 |
| 26.4 | 16 |
| 27.8 | 83 |
| 28.5 | 56 |
| 33.0 | 23 |
| 35.4 | 34 |
| 41.7 | 100 |
| 42.2 | 34 |
| 55.9 | 17 |
| 67.4 | 18 |

Crystal structure
Unit cell a=3.1726 b=3.6513 c=20.2782 alpha=90.00 beta=90.00 gamma=90.00
Sites, in units of the cell vectors:
U  0.0000  0.0000  0.0000
U  0.0000  0.5000  0.1361
U  0.0000  0.5000  0.8639
U  0.5000  0.0000  0.3639
U  0.5000  0.0000  0.6361
U  0.5000  0.5000  0.5000
S  0.0000  0.0000  0.2492
S  0.0000  0.0000  0.7508
S  0.5000  0.5000  0.2508
S  0.5000  0.5000  0.7492
N  0.0000  0.0000  0.5000
N  0.0000  0.5000  0.3898
N  0.0000  0.5000  0.6102
N  0.5000  0.0000  0.1102
N  0.5000  0.0000  0.8898
N  0.5000  0.5000  0.0000